# CuSnTe2
Calculated powder XRD pattern, CuKα. Input: a structure optimized by DFT (GGA-PBE).
Kinematic intensities with the Lorentz-polarization factor, no thermal factor.

Atomic structure:
Cell: 7.087 10.087 7.068 Å, 90.00 90.00 90.00°
Atoms (fractional coordinates):
Cu (0.067, 0.125, 0.000)
Cu (0.433, 0.625, 0.500)
Cu (0.567, 0.375, 0.000)
Cu (0.933, 0.875, 0.500)
Sn (0.032, 0.627, 0.977)
Sn (0.468, 0.127, 0.477)
Sn (0.532, 0.873, 0.977)
Sn (0.968, 0.373, 0.477)
Te (0.071, 0.092, 0.360)
Te (0.091, 0.658, 0.388)
Te (0.409, 0.158, 0.888)
Te (0.429, 0.592, 0.860)
Te (0.571, 0.408, 0.360)
Te (0.591, 0.842, 0.388)
Te (0.909, 0.342, 0.888)
Te (0.929, 0.908, 0.860)

Principal peaks in the range 10 to 80 degrees two-theta, low angle first:
- 4.109 Å, 21.63°, intensity 50
- 3.548 Å, 25.10°, intensity 100
- 3.534 Å, 25.20°, intensity 73
- 3.037 Å, 29.41°, intensity 30
- 2.522 Å, 35.60°, intensity 34
- 2.502 Å, 35.89°, intensity 25
- 2.139 Å, 42.24°, intensity 42
- 2.054 Å, 44.10°, intensity 39
- 2.044 Å, 44.31°, intensity 67
- 1.830 Å, 49.83°, intensity 30



# CeYCdRu
Calculated powder XRD pattern, CuKα. Input: a structure optimized by DFT (GGA-PBE).
Kinematic intensities with the Lorentz-polarization factor, no thermal factor.

Atomic structure:
Cell: 3.365 3.365 8.337 Å, 90.00 90.00 90.00°
Atoms (fractional coordinates):
Ce (0.000, 0.000, 0.000)
Y (0.000, 0.000, 0.584)
Cd (0.500, 0.500, 0.301)
Ru (0.500, 0.500, 0.796)

Principal peaks in the range 10 to 80 degrees two-theta, low angle first:
- 8.337 Å, 10.61°, intensity 10
- 3.120 Å, 28.61°, intensity 7
- 2.618 Å, 34.25°, intensity 100
- 2.379 Å, 37.81°, intensity 44
- 2.143 Å, 42.18°, intensity 8
- 2.084 Å, 43.42°, intensity 8
- 1.682 Å, 54.55°, intensity 15
- 1.568 Å, 58.91°, intensity 13
- 1.415 Å, 66.01°, intensity 28
- 1.309 Å, 72.16°, intensity 7



# CdHg4F12
Calculated powder XRD pattern, CuKα. Input: a structure optimized by DFT (GGA-PBE).
Kinematic intensities with the Lorentz-polarization factor, no thermal factor.

Atomic structure:
Cell: 7.433 7.433 8.292 Å, 123.80 123.80 71.96°
Atoms (fractional coordinates):
Cd (0.000, 0.000, 0.000)
Hg (0.000, 0.500, 0.000)
Hg (0.000, 0.500, 0.500)
Hg (0.500, 0.000, 0.000)
Hg (0.500, 0.000, 0.500)
F (0.001, 0.395, 0.698)
F (0.222, 0.778, 0.171)
F (0.222, 0.778, 0.829)
F (0.224, 0.224, 0.054)
F (0.224, 0.224, 0.395)
F (0.395, 0.001, 0.698)
F (0.605, 0.999, 0.302)
F (0.776, 0.776, 0.605)
F (0.776, 0.776, 0.946)
F (0.778, 0.222, 0.171)
F (0.778, 0.222, 0.829)
F (0.999, 0.605, 0.302)

Principal peaks in the range 10 to 80 degrees two-theta, low angle first:
- 4.368 Å, 20.33°, intensity 96
- 4.146 Å, 21.43°, intensity 36
- 3.089 Å, 28.91°, intensity 49
- 3.007 Å, 29.71°, intensity 100
- 2.477 Å, 36.27°, intensity 26
- 2.184 Å, 41.34°, intensity 33
- 1.953 Å, 46.49°, intensity 21
- 1.933 Å, 47.01°, intensity 17
- 1.767 Å, 51.73°, intensity 50
- 1.721 Å, 53.22°, intensity 28



# NaSrICl2
Calculated powder XRD pattern, CuKα. Input: a structure optimized by DFT (GGA-PBE).
Kinematic intensities with the Lorentz-polarization factor, no thermal factor.

Atomic structure:
Cell: 8.361 5.096 9.045 Å, 90.00 107.37 90.00°
Atoms (fractional coordinates):
Na (0.189, 0.250, 0.018)
Na (0.811, 0.750, 0.982)
Sr (0.258, 0.750, 0.434)
Sr (0.742, 0.250, 0.566)
I (0.175, 0.250, 0.661)
I (0.825, 0.750, 0.339)
Cl (0.162, 0.750, 0.099)
Cl (0.403, 0.250, 0.348)
Cl (0.597, 0.750, 0.652)
Cl (0.838, 0.250, 0.901)

Principal peaks in the range 10 to 80 degrees two-theta, low angle first:
- 8.632 Å, 10.25°, intensity 100
- 4.388 Å, 20.24°, intensity 62
- 3.990 Å, 22.28°, intensity 46
- 3.323 Å, 26.83°, intensity 46
- 3.269 Å, 27.28°, intensity 26
- 3.204 Å, 27.84°, intensity 43
- 2.880 Å, 31.05°, intensity 26
- 2.591 Å, 34.62°, intensity 40
- 2.548 Å, 35.22°, intensity 40
- 2.445 Å, 36.76°, intensity 48



What did the fourth record say?
# NaSrICl2
Calculated powder XRD pattern, CuKα. Input: a structure optimized by DFT (GGA-PBE).
Kinematic intensities with the Lorentz-polarization factor, no thermal factor.

Atomic structure:
Cell: 8.361 5.096 9.045 Å, 90.00 107.37 90.00°
Atoms (fractional coordinates):
Na (0.189, 0.250, 0.018)
Na (0.811, 0.750, 0.982)
Sr (0.258, 0.750, 0.434)
Sr (0.742, 0.250, 0.566)
I (0.175, 0.250, 0.661)
I (0.825, 0.750, 0.339)
Cl (0.162, 0.750, 0.099)
Cl (0.403, 0.250, 0.348)
Cl (0.597, 0.750, 0.652)
Cl (0.838, 0.250, 0.901)

Principal peaks in the range 10 to 80 degrees two-theta, low angle first:
- 8.632 Å, 10.25°, intensity 100
- 4.388 Å, 20.24°, intensity 62
- 3.990 Å, 22.28°, intensity 46
- 3.323 Å, 26.83°, intensity 46
- 3.269 Å, 27.28°, intensity 26
- 3.204 Å, 27.84°, intensity 43
- 2.880 Å, 31.05°, intensity 26
- 2.591 Å, 34.62°, intensity 40
- 2.548 Å, 35.22°, intensity 40
- 2.445 Å, 36.76°, intensity 48